Calculated PXRD pattern of CePrSm for Cu Kα, 1.54184 Å, from a structure optimized by DFT (GGA-PBE).
Kinematic intensities with the Lorentz-polarization factor, no thermal factor.

Structure:
```
6
Lattice="3.5186 0.0000 0.0000 -0.0051 5.9476 0.0000 -1.7468 -2.8787 9.2559" Properties=species:S:1:pos:R:3 pbc="T T T"
Ce 0.0000 0.0000 0.0000
Ce 0.0079 2.8143 7.2163
Pr 0.0075 -0.0902 3.0400
Pr 0.0010 2.8938 4.1761
Sm 1.7610 2.9351 0.8420
Sm 1.7660 -0.1218 6.3746
```

Top 10 peaks for 2θ = 15–90°, by angle:
d 3.158, I = 26
d 3.129, I = 34
d 3.085, I = 28
d 3.057, I = 18
d 2.974, I = 78
d 2.881, I = 100
d 2.872, I = 28
d 2.551, I = 28
d 2.154, I = 23
d 1.514, I = 22

***

Calculated PXRD pattern of KZn4As3O12 for Cu Kα, 1.54184 Å, from a structure optimized by DFT (GGA-PBE).
Kinematic intensities with the Lorentz-polarization factor, no thermal factor.

Structure:
```
20
Lattice="5.5021 3.1766 2.2855 -5.5021 3.1766 2.2855 0.0000 -6.3533 2.2855" Properties=species:S:1:pos:R:3 pbc="T T T"
K 0.0000 0.0000 0.0000
Zn -2.3929 -4.1447 3.4282
Zn 0.0000 0.0000 3.4282
Zn -2.3930 4.1447 3.4282
Zn 4.7859 0.0000 3.4282
As -3.0998 -0.9843 2.2855
As 2.4023 -2.1923 2.2855
As 0.6974 3.1766 2.2855
O -3.2810 -2.4242 3.3287
O -4.2942 0.0000 3.4282
O -0.4590 -4.0535 3.5277
O -1.9109 0.0000 3.4282
O -3.2810 2.4242 3.5277
O 2.1471 -3.7189 3.4282
O 0.9555 -1.6549 3.4282
O -0.4590 4.0535 3.3287
O 0.9555 1.6549 3.4282
O 3.7399 -1.6293 3.3287
O 2.1471 3.7189 3.4282
O 3.7399 1.6293 3.5277
```

Top 10 peaks for 2θ = 15–90°, by angle:
d 5.502, I = 23
d 3.189, I = 64
d 2.783, I = 100
d 2.751, I = 36
d 2.466, I = 41
d 1.666, I = 23
d 1.661, I = 23
d 1.613, I = 17
d 1.538, I = 21
d 1.526, I = 26

***

Calculated PXRD pattern of Pr6AsP4 for Cu Kα, 1.54184 Å, from a structure optimized by DFT (GGA-PBE).
Kinematic intensities with the Lorentz-polarization factor, no thermal factor.

Structure:
```
22
Lattice="2.0981 -6.9095 0.0000 2.0981 6.9095 0.0000 0.0000 0.0000 21.0250" Properties=species:S:1:pos:R:3 pbc="T T T"
Pr 0.0000 0.0000 0.0000
Pr 0.0000 0.0000 10.5125
Pr 2.0981 4.3921 15.7688
Pr 2.0981 3.1134 1.7199
Pr 2.0981 3.1134 8.7926
Pr 2.0981 0.6171 13.9187
Pr 2.0981 0.6171 17.6188
Pr 2.0981 -0.6171 3.4062
Pr 2.0981 -0.6171 7.1063
Pr 2.0981 -3.1134 12.2324
Pr 2.0981 -3.1134 19.3051
Pr 2.0981 -4.3921 5.2563
As 2.0981 4.6556 5.2563
As 2.0981 -4.6556 15.7688
P 2.0981 5.6639 13.2077
P 2.0981 5.6639 18.3298
P 2.0981 1.8973 11.4115
P 2.0981 1.8973 20.1260
P 2.0981 -1.8973 0.8990
P 2.0981 -1.8973 9.6135
P 2.0981 -5.6639 2.6952
P 2.0981 -5.6639 7.8173
```

Top 10 peaks for 2θ = 15–90°, by angle:
d 3.484, I = 33
d 3.191, I = 43
d 3.125, I = 100
d 3.069, I = 31
d 2.975, I = 88
d 2.837, I = 37
d 2.112, I = 39
d 2.098, I = 31
d 2.021, I = 49
d 1.741, I = 52

***

Calculated PXRD pattern of MnBPdAuI for Cu Kα, 1.54184 Å, from a structure optimized by DFT (GGA-PBE).
Kinematic intensities with the Lorentz-polarization factor, no thermal factor.

Structure:
```
5
Lattice="3.3820 0.0000 0.0000 0.0255 4.2734 0.0000 0.0020 0.4892 7.1804" Properties=species:S:1:pos:R:3 pbc="T T T"
Mn 0.0000 0.0000 0.0000
B 1.6926 0.4509 5.7910
Pd 0.0269 4.5644 4.5329
Au 1.7056 2.5789 6.2612
I 1.7159 4.0422 2.2442
```

Top 10 peaks for 2θ = 15–90°, by angle:
d 3.781, I = 30
d 3.561, I = 42
d 2.843, I = 24
d 2.658, I = 25
d 2.527, I = 26
d 2.514, I = 26
d 2.461, I = 100
d 2.446, I = 26
d 2.132, I = 25
d 2.029, I = 20

***

Calculated PXRD pattern of Th5Mn2Bi2 for Cu Kα, 1.54184 Å, from a structure optimized by DFT (GGA-PBE).
Kinematic intensities with the Lorentz-polarization factor, no thermal factor.

Structure:
```
18
Lattice="8.1432 -3.9523 0.0000 8.1432 3.9523 0.0000 0.0000 0.0000 7.9898" Properties=species:S:1:pos:R:3 pbc="T T T"
Th 0.0000 0.0000 0.0000
Th 6.2770 2.6496 5.3260
Th 6.2770 1.3026 1.3311
Th 10.0093 2.6496 5.3260
Th 10.0093 1.3026 1.3311
Th 8.1432 0.0000 3.9949
Th 6.2770 -1.3026 6.6587
Th 6.2770 -2.6496 2.6638
Th 10.0093 -1.3026 6.6587
Th 10.0093 -2.6496 2.6638
Mn 8.1432 2.9838 3.0581
Mn 8.1432 0.9684 7.0530
Mn 8.1432 -0.9684 0.9368
Mn 8.1432 -2.9838 4.9317
Bi 3.4573 0.0000 0.0000
Bi 4.6858 0.0000 3.9949
Bi 11.6005 0.0000 3.9949
Bi 12.8290 0.0000 0.0000
```

Top 10 peaks for 2θ = 15–90°, by angle:
d 3.544, I = 39
d 3.483, I = 33
d 2.852, I = 46
d 2.836, I = 43
d 2.815, I = 100
d 2.673, I = 50
d 2.494, I = 39
d 2.473, I = 39
d 2.405, I = 32
d 1.624, I = 42